The following is a calculated X-ray diffraction stick pattern of K7Fe5S10. It was derived from a DFT-relaxed cell (PBE, the Materials Project), using λ = 1.5418 Å (Cu Kα).
Peak positions follow from Bragg's law for the DFT cell and can differ from measured ones.

Atomic structure:
```
data_K7Fe5S10
_chemical_formula_sum 'K14 Fe10 S20'
_cell_length_a 14.9837
_cell_length_b 14.9837
_cell_length_c 7.2994
_cell_angle_alpha 102.05
_cell_angle_beta 102.05
_cell_angle_gamma 45.54
_space_group_name_H-M_alt 'P 1'
_space_group_IT_number 1
loop_
_space_group_symop_operation_xyz
'x,y,z'
loop_
_atom_site_label
_atom_site_type_symbol
_atom_site_fract_x
_atom_site_fract_y
_atom_site_fract_z
_atom_site_occupancy
K1 K 0.1069 0.8931 0.7500 1
K2 K 0.1180 0.1739 0.5124 1
K3 K 0.1725 0.3912 0.4615 1
K4 K 0.1739 0.1180 0.0124 1
K5 K 0.3273 0.5221 0.5672 1
K6 K 0.3912 0.1725 0.9615 1
K7 K 0.4779 0.6727 0.9328 1
K8 K 0.5221 0.3273 0.0672 1
K9 K 0.6088 0.8275 0.0385 1
K10 K 0.6727 0.4779 0.4328 1
K11 K 0.8261 0.8820 0.9876 1
K12 K 0.8275 0.6088 0.5385 1
K13 K 0.8820 0.8261 0.4876 1
K14 K 0.8931 0.1069 0.2500 1
Fe1 Fe 0.0752 0.5260 0.9913 1
Fe2 Fe 0.1662 0.6324 0.0606 1
Fe3 Fe 0.2366 0.7634 0.2500 1
Fe4 Fe 0.3676 0.8338 0.4394 1
Fe5 Fe 0.4740 0.9248 0.5087 1
Fe6 Fe 0.5260 0.0752 0.4913 1
Fe7 Fe 0.6324 0.1662 0.5606 1
Fe8 Fe 0.7634 0.2366 0.7500 1
Fe9 Fe 0.8338 0.3676 0.9394 1
Fe10 Fe 0.9248 0.4740 0.0087 1
S1 S 0.0614 0.6317 0.7889 1
S2 S 0.0640 0.8034 0.2819 1
S3 S 0.0905 0.3688 0.8352 1
S4 S 0.1966 0.9360 0.2181 1
S5 S 0.2530 0.4528 0.1725 1
S6 S 0.3072 0.6285 0.9907 1
S7 S 0.3683 0.9386 0.7111 1
S8 S 0.3688 0.0905 0.3352 1
S9 S 0.3715 0.6928 0.5093 1
S10 S 0.4528 0.2530 0.6725 1
S11 S 0.5472 0.7470 0.3275 1
S12 S 0.6285 0.3072 0.4907 1
S13 S 0.6312 0.9095 0.6648 1
S14 S 0.6317 0.0614 0.2889 1
S15 S 0.6928 0.3715 0.0093 1
S16 S 0.7470 0.5472 0.8275 1
S17 S 0.8034 0.0640 0.7819 1
S18 S 0.9095 0.6312 0.1648 1
S19 S 0.9360 0.1966 0.7181 1
S20 S 0.9386 0.3683 0.2111 1
```

Most intense lines, 5 to 70 degrees two-theta, most intense first:
| 2theta | d_spacing | I_rel |
| --- | --- | --- |
| 14.34 | 6.174 | 100 |
| 15.28 | 5.799 | 44 |
| 30.08 | 2.971 | 41 |
| 26.09 | 3.416 | 39 |
| 27.07 | 3.294 | 36 |
| 30.84 | 2.900 | 28 |
| 36.85 | 2.439 | 25 |
| 24.40 | 3.648 | 24 |
| 42.36 | 2.134 | 23 |
| 26.81 | 3.325 | 19 |